(1)
LaNdTe2O: theoretical X-ray powder pattern (λ = 1.5418 Å (Cu Kα)), based on a cell relaxed with GGA-PBE.
Peak positions follow from Bragg's law for the DFT cell and can differ from measured ones.

Principal peaks in the range 2θ from 5° to 70°, by intensity:
2theta  Rel. int.  index
29.3  1000  1 1 0
34.6  613  1 0 5
26.4  450  1 0 3
41.9  428  2 0 0
55.4  317  2 1 5
36.9  263  1 1 4
21.9  187  0 0 4
68.8  174  3 1 0

Structure:
Lattice parameters (Å, degrees): 4.313 4.313 16.202 90.00 90.00 90.00
Space group P4/nmm (No. 129, origin choice 2)
Asymmetric unit:
La (0.250, 0.250, 0.069)
Nd (0.250, 0.250, 0.633)
Te (0.250, 0.250, 0.416)
Te (0.250, 0.250, 0.815)
O (0.250, 0.750, 0.000)



(2)
Tm3PaC3: theoretical X-ray powder pattern (λ = 1.5418 Å (Cu Kα)), based on a cell relaxed with GGA-PBE.
Peak positions follow from Bragg's law for the DFT cell and can differ from measured ones.

Principal peaks in the range 2θ from 5° to 70°, by intensity:
2theta  Rel. int.  index
30.8  1000  2 2 1
35.5  404  4 0 0
60.8  283  6 2 1
51.5  279  4 0 2
36.1  200  0 0 2
61.7  145  2 2 3
64.1  139  4 4 2
51.1  138  4 4 0

Structure:
Lattice parameters (Å, degrees): 10.119 10.119 4.971 90.00 90.00 90.00
Space group P4_2/mnm (No. 136)
Asymmetric unit:
Tm (0.114, 0.375, 0.000)
Tm (0.137, 0.137, 0.500)
Pa (0.125, 0.875, 0.000)
C (0.112, 0.112, 0.000)
C (0.125, 0.640, 0.000)